No. 1
For La3Nd6Th2, a GGA-PBE-relaxed structure gives the theoretical X-ray powder pattern in this record (Cu Kα, 1.54184 Å).
Neutral-atom scattering factors, no anomalous dispersion.

Largest 12 diffraction maxima, by angle, 2θ = 10–90°:
two_theta, d (Å), intensity, h k l
30.38, 2.942, 935, 0 1 11
30.84, 2.899, 1000, 1 1 0
43.84, 2.065, 344, 2 0 11
53.69, 1.707, 136, 1 0 22
54.56, 1.682, 363, 1 2 11
54.84, 1.674, 199, 3 0 0
63.20, 1.471, 83, 0 2 22
64.25, 1.450, 123, 2 2 0
71.97, 1.312, 113, 2 1 22
72.71, 1.300, 154, 3 1 11
89.18, 1.098, 95, 2 3 11
89.41, 1.096, 105, 4 1 0

Cell: 5.7988 5.7988 39.9399 Å, 90.00 90.00 120.00°
Space group R-3m (No. 166, hexagonal axes)
Asymmetric unit:
La: 0.0000 0.0000 0.0000 x3
La: 0.0000 0.0000 0.2697 x6
Nd: 0.0000 0.0000 0.0986 x6
Nd: 0.0000 0.0000 0.1855 x6
Nd: 0.0000 0.0000 0.3590 x6
Th: 0.0000 0.0000 0.4502 x6

***

No. 2
For La8NdTh4, a GGA-PBE-relaxed structure gives the theoretical X-ray powder pattern in this record (Cu Kα, 1.54184 Å).
Neutral-atom scattering factors, no anomalous dispersion.

Largest 12 diffraction maxima, by angle, 2θ = 10–90°:
two_theta, d (Å), intensity, h k l
19.21, 4.621, 279, 0 0 3
31.62, 2.830, 1000, 2 2 0
37.26, 2.413, 163, 2 2 3
45.32, 2.001, 182, 4 0 4
49.62, 1.837, 55, 2 4 1
56.27, 1.635, 283, 6 0 0
56.41, 1.631, 93, 2 0 8
60.05, 1.541, 53, 4 0 7
65.95, 1.416, 57, 4 4 0
66.10, 1.414, 56, 0 4 8
75.00, 1.266, 77, 6 2 4
75.11, 1.265, 76, 4 2 8

Cell: 11.3314 11.3314 13.8359 Å, 90.00 90.00 120.00°
Space group R-3m (No. 166, hexagonal axes)
Asymmetric unit:
La: 0.0000 0.0000 0.2374 x6
La: 0.0162 0.5081 0.7452 x18
Nd: 0.0000 0.0000 0.5000 x3
Th: 0.0000 0.0000 0.0000 x3
Th: 0.0000 0.5000 0.0000 x9

***

No. 3
For La6Nd8Th, a GGA-PBE-relaxed structure gives the theoretical X-ray powder pattern in this record (Cu Kα, 1.54184 Å).
Neutral-atom scattering factors, no anomalous dispersion.

Largest 12 diffraction maxima, by angle, 2θ = 10–90°:
two_theta, d (Å), intensity, h k l
29.41, 3.037, 460, 2 1 1
30.31, 2.949, 1000, 1 2 2
30.41, 2.939, 722, 2 0 5
31.39, 2.850, 533, 1 0 7
31.61, 2.830, 197, 2 -1 6
33.71, 2.659, 178, 3 -1 4
35.50, 2.529, 254, 0 3 3
51.28, 1.782, 145, 0 3 9
51.59, 1.772, 130, 4 1 0
52.02, 1.758, 107, 5 -2 4
53.29, 1.719, 243, 4 1 3
58.06, 1.589, 143, 3 2 7

Cell: 9.3745 9.3745 21.3032 Å, 90.00 90.00 120.00°
Space group R-3 (No. 148, hexagonal axes)
Asymmetric unit:
La: 0.0526 0.8043 0.2099 x18
Nd: 0.0000 0.0000 0.0771 x6
Nd: 0.0804 0.5109 0.3044 x18
Th: 0.0000 0.0000 0.5000 x3